The following is a computed PXRD pattern of BaH16O10. It was derived from a structure optimized by DFT (GGA-PBE), using Cu Ka.
Lines closer than 0.1° are merged.

Largest 10 diffraction maxima, most intense first, 2θ = 10–80°:
(1 1 -2), d = 3.578 Å, 2θ 24.89, I 100; (1 0 0), d = 6.494 Å, 2θ 13.64, I 65; (1 0 2), d = 4.287 Å, 2θ 20.72, I 64; (0 0 2), d = 5.708 Å, 2θ 15.52, I 60; (2 0 2), d = 2.822 Å, 2θ 31.70, I 52; (3 1 0), d = 2.054 Å, 2θ 44.10, I 42; (1 1 -4), d = 2.424 Å, 2θ 37.09, I 42; (1 1 0), d = 4.592 Å, 2θ 19.33, I 42; (2 1 2), d = 2.588 Å, 2θ 34.66, I 40; (2 1 4), d = 2.036 Å, 2θ 44.51, I 31

Unit cell a=6.4997 b=6.4879 c=11.4169 alpha=90.00 beta=90.08 gamma=90.00
Fractional positions:
1 Ba 0.0000 0.0022 0.2500
2 Ba 0.0000 0.9978 0.7500
3 H 0.0352 0.4597 0.6265
4 H 0.0352 0.5403 0.1265
5 H 0.1515 0.3323 0.4689
6 H 0.1515 0.6677 0.9689
7 H 0.2740 0.4035 0.6473
8 H 0.2740 0.5965 0.1473
9 H 0.2825 0.4031 0.3561
10 H 0.2825 0.5969 0.8561
11 H 0.3312 0.1504 0.0304
12 H 0.3312 0.8496 0.5304
13 H 0.3999 0.2799 0.1443
14 H 0.3999 0.7201 0.6443
15 H 0.4061 0.2762 0.8530
16 H 0.4061 0.7238 0.3530
17 H 0.4612 0.0367 0.8734
18 H 0.4612 0.9633 0.3734
19 H 0.5388 0.0367 0.6266
20 H 0.5388 0.9633 0.1266
21 H 0.5939 0.2762 0.6470
22 H 0.5939 0.7238 0.1470
23 H 0.6001 0.2799 0.3557
24 H 0.6001 0.7201 0.8557
25 H 0.6688 0.1504 0.4696
26 H 0.6688 0.8496 0.9696
27 H 0.7175 0.4031 0.1439
28 H 0.7175 0.5969 0.6439
29 H 0.7260 0.4035 0.8527
30 H 0.7260 0.5965 0.3527
31 H 0.8485 0.3323 0.0311
32 H 0.8485 0.6677 0.5311
33 H 0.9648 0.4597 0.8735
34 H 0.9648 0.5403 0.3735
35 O 0.1368 0.3440 0.6204
36 O 0.1368 0.6560 0.1204
37 O 0.1448 0.3429 0.3814
38 O 0.1448 0.6571 0.8814
39 O 0.3403 0.1424 0.1180
40 O 0.3403 0.8576 0.6180
41 O 0.3458 0.1386 0.8790
42 O 0.3458 0.8614 0.3790
43 O 0.4977 0.4979 0.6846
44 O 0.4977 0.5021 0.1846
45 O 0.5023 0.4979 0.8154
46 O 0.5023 0.5021 0.3154
47 O 0.6542 0.1386 0.6210
48 O 0.6542 0.8614 0.1210
49 O 0.6597 0.1424 0.3820
50 O 0.6597 0.8576 0.8820
51 O 0.8552 0.3429 0.1186
52 O 0.8552 0.6571 0.6186
53 O 0.8632 0.3440 0.8796
54 O 0.8632 0.6560 0.3796